This entry pairs a crystal structure of Tl3GeTe3 with its theoretical powder XRD pattern. Radiation: λ = 1.5418 Å (Cu Kα). Structure: a GGA-PBE-relaxed structure.
Peak positions follow from Bragg's law for the DFT cell and can differ from measured ones.

Most intense lines, 15 to 90 degrees two-theta, sorted by position:
(1 3 -2), 2θ = 25.56°, I = 33
(2 1 -3), 2θ = 25.93°, I = 47
(0 4 0), 2θ = 27.02°, I = 41
(1 2 -3), 2θ = 27.24°, I = 33
(2 1 0), 2θ = 27.81°, I = 83
(2 2 -3), 2θ = 28.49°, I = 25
(1 4 -1), 2θ = 29.16°, I = 100
(2 0 -4), 2θ = 31.31°, I = 32
(0 2 3), 2θ = 32.34°, I = 37
(2 3 0), 2θ = 33.91°, I = 25

Structural model:
Unit cell a=8.3064 b=13.1966 c=11.4964 alpha=90.00 beta=127.23 gamma=90.00
Space group P2_1/c (No. 14)
Asymmetric unit:
1 Tl 0.0689 0.1736 0.3874 [4 per cell]
2 Tl 0.3687 0.5783 0.0978 [4 per cell]
3 Tl 0.3872 0.6378 0.5150 [4 per cell]
4 Ge 0.0680 0.5571 0.6568 [4 per cell]
5 Te 0.1345 0.0562 0.7292 [4 per cell]
6 Te 0.1361 0.1408 0.1279 [4 per cell]
7 Te 0.4247 0.6566 0.8370 [4 per cell]

=====

This entry pairs a crystal structure of AcTbCd4 with its theoretical powder XRD pattern. Radiation: λ = 1.5418 Å (Cu Kα). Structure: a GGA-PBE-relaxed structure.
Peak positions follow from Bragg's law for the DFT cell and can differ from measured ones.

Most intense lines, 15 to 90 degrees two-theta, sorted by position:
(1 0 0), 2θ = 20.35°, I = 9
(1 0 2), 2θ = 31.40°, I = 100
(1 1 0), 2θ = 35.63°, I = 72
(2 0 2), 2θ = 48.21°, I = 30
(2 1 2), 2θ = 61.37°, I = 29
(1 1 4), 2θ = 61.53°, I = 20
(3 0 0), 2θ = 63.99°, I = 13
(2 2 0), 2θ = 75.45°, I = 8
(3 1 2), 2θ = 83.98°, I = 12
(3 0 4), 2θ = 84.13°, I = 8

Structural model:
Unit cell a=5.0399 b=5.0399 c=7.5213 alpha=90.00 beta=90.00 gamma=120.00
Space group P6/mmm (No. 191)
Asymmetric unit:
1 Ac 0.0000 0.0000 0.0000 [1 per cell]
2 Tb 0.0000 0.0000 0.5000 [1 per cell]
3 Cd 0.3333 0.6667 0.2828 [4 per cell]

=====

This entry pairs a crystal structure of CaY2ErSe4 with its theoretical powder XRD pattern. Radiation: λ = 1.5418 Å (Cu Kα). Structure: a GGA-PBE-relaxed structure.
Peak positions follow from Bragg's law for the DFT cell and can differ from measured ones.

Most intense lines, 15 to 90 degrees two-theta, sorted by position:
(1 1 1), 2θ = 30.88°, I = 100
(2 0 2), 2θ = 44.00°, I = 12
(1 1 -3), 2θ = 44.20°, I = 24
(3 1 -1), 2θ = 44.30°, I = 24
(0 2 0), 2θ = 44.43°, I = 12
(2 2 -2), 2θ = 55.10°, I = 13
(2 2 2), 2θ = 64.31°, I = 8
(0 2 4), 2θ = 73.02°, I = 11
(4 2 0), 2θ = 73.17°, I = 11
(4 2 -4), 2θ = 81.62°, I = 8

Structural model:
Unit cell a=7.0899 b=4.0785 c=7.1107 alpha=90.00 beta=109.15 gamma=90.00
Space group P2/m (No. 10)
Asymmetric unit:
1 Ca 0.0000 0.0000 0.0000 [1 per cell]
2 Y 0.0000 0.5000 0.5000 [1 per cell]
3 Y 0.5000 0.0000 0.5000 [1 per cell]
4 Er 0.5000 0.5000 0.0000 [1 per cell]
5 Se 0.2531 0.0000 0.7534 [2 per cell]
6 Se 0.2528 0.5000 0.2494 [2 per cell]